[1]
# CeEr2Mg6
Computed PXRD pattern, Cu Kα (λ = 1.5418 Å). Input: a PBE-relaxed structure.
Lines closer than 0.1° are merged.

Largest 10 diffraction maxima, sorted by position, 10 to 90 degrees two-theta:
d [Å], intensity
4.530, 100
2.642, 100
2.615, 63
2.265, 17
2.038, 16
1.859, 35
1.712, 14
1.515, 36
1.381, 17
1.172, 16

```
CeEr2Mg6
1.0
9.0591 0.0000 0.0000
-4.5296 7.8455 0.0000
0.0000 0.0000 3.2533
Ce Er Mg
1 2 6
direct
0.0000 0.0000 0.0000 Ce
0.3333 0.6667 0.0000 Er
0.6667 0.3333 0.0000 Er
0.0000 0.3354 0.5000 Mg
0.0000 0.6646 0.5000 Mg
0.3354 0.0000 0.5000 Mg
0.3354 0.3354 0.5000 Mg
0.6646 0.0000 0.5000 Mg
0.6646 0.6646 0.5000 Mg
```


[2]
# CdH2Pd3
Computed PXRD pattern, Cu Kα (λ = 1.5418 Å). Input: a PBE-relaxed structure.
Lines closer than 0.1° are merged.

Largest 10 diffraction maxima, sorted by position, 10 to 90 degrees two-theta:
d [Å], intensity
2.790, 18
2.410, 54
2.400, 30
2.389, 100
2.350, 50
1.951, 29
1.815, 23
1.364, 16
1.205, 21
1.200, 15

```
CdH2Pd3
1.0
-2.7903 4.7004 2.7742
2.7903 -4.7004 2.7742
2.7903 4.7004 -2.7742
Cd H Pd
2 4 6
direct
0.4647 0.2147 0.2500 Cd
0.5353 0.7853 0.7500 Cd
0.0657 0.6704 0.3953 H
0.2250 0.3296 0.8953 H
0.7750 0.6704 0.1047 H
0.9343 0.3296 0.6047 H
0.0000 0.0000 0.5000 Pd
0.0000 0.2532 0.2532 Pd
0.0000 0.5000 0.0000 Pd
0.0000 0.7468 0.7468 Pd
0.5000 0.2532 0.7532 Pd
0.5000 0.7468 0.2468 Pd
```


[3]
# Er12Ga6Pb
Computed PXRD pattern, Cu Kα (λ = 1.5418 Å). Input: a PBE-relaxed structure.
Lines closer than 0.1° are merged.

Largest 10 diffraction maxima, sorted by position, 10 to 90 degrees two-theta:
d [Å], intensity
3.162, 33
2.887, 49
2.673, 100
2.500, 21
1.961, 20
1.715, 32
1.622, 36
1.414, 21
1.179, 15
1.162, 15

```
Er12Ga6Pb
1.0
-5.0000 5.0000 5.0000
5.0000 -5.0000 5.0000
5.0000 5.0000 -5.0000
Er Ga Pb
12 6 1
direct
0.1063 0.2956 0.8107 Er
0.1893 0.4848 0.2956 Er
0.1893 0.8937 0.7044 Er
0.2956 0.1893 0.4848 Er
0.2956 0.8107 0.1063 Er
0.4848 0.2956 0.1893 Er
0.5152 0.7044 0.8107 Er
0.7044 0.1893 0.8937 Er
0.7044 0.8107 0.5152 Er
0.8107 0.1063 0.2956 Er
0.8107 0.5152 0.7044 Er
0.8937 0.7044 0.1893 Er
0.1226 0.5000 0.6226 Ga
0.3774 0.8774 0.5000 Ga
0.5000 0.3774 0.8774 Ga
0.5000 0.6226 0.1226 Ga
0.6226 0.1226 0.5000 Ga
0.8774 0.5000 0.3774 Ga
0.0000 0.0000 0.0000 Pb
```


[4]
# Tl6Sn2Hg3
Computed PXRD pattern, Cu Kα (λ = 1.5418 Å). Input: a PBE-relaxed structure.
Lines closer than 0.1° are merged.

Largest 10 diffraction maxima, sorted by position, 10 to 90 degrees two-theta:
d [Å], intensity
2.870, 100
2.693, 27
2.445, 64
1.773, 26
1.687, 20
1.508, 15
1.481, 27
1.435, 12
1.149, 13
1.116, 12

```
Tl6Sn2Hg3
1.0
1.7729 1.0236 29.6209
-1.7729 1.0236 29.6209
0.0000 -2.0472 29.6209
Tl Sn Hg
6 2 3
direct
0.0893 0.0893 0.0893 Tl
0.1828 0.1828 0.1828 Tl
0.3630 0.3630 0.3630 Tl
0.6370 0.6370 0.6370 Tl
0.8172 0.8172 0.8172 Tl
0.9107 0.9107 0.9107 Tl
0.4535 0.4535 0.4535 Sn
0.5465 0.5465 0.5465 Sn
0.0000 0.0000 0.0000 Hg
0.2741 0.2741 0.2741 Hg
0.7259 0.7259 0.7259 Hg
```


[5]
# SrTb2In
Computed PXRD pattern, Cu Kα (λ = 1.5418 Å). Input: a PBE-relaxed structure.
Lines closer than 0.1° are merged.

Largest 10 diffraction maxima, sorted by position, 10 to 90 degrees two-theta:
d [Å], intensity
3.312, 9
2.971, 100
2.622, 47
2.470, 26
2.056, 10
1.854, 17
1.751, 9
1.584, 9
1.573, 30
1.483, 11

```
SrTb2In
1.0
3.7079 0.0000 0.0000
0.0000 3.7079 0.0000
0.0000 0.0000 9.9351
Sr Tb In
1 2 1
direct
0.0000 0.0000 0.0000 Sr
0.5000 0.5000 0.3039 Tb
0.5000 0.5000 0.6961 Tb
0.0000 0.0000 0.5000 In
```


[6]
# GeBTeI2
Computed PXRD pattern, Cu Kα (λ = 1.5418 Å). Input: a PBE-relaxed structure.
Lines closer than 0.1° are merged.

Largest 10 diffraction maxima, sorted by position, 10 to 90 degrees two-theta:
d [Å], intensity
2.924, 100
2.595, 19
2.502, 35
1.801, 26
1.769, 12
1.554, 15
1.514, 27
1.462, 13
1.168, 12
1.152, 6

```
GeBTeI2
1.0
5.0045 0.0000 0.0000
0.0000 5.0045 0.0000
0.0000 0.0000 5.1895
Ge B Te I
1 1 1 2
direct
0.0000 0.0000 0.0000 Ge
0.5000 0.5000 0.5000 B
0.5000 0.5000 0.0000 Te
0.0000 0.5000 0.5000 I
0.5000 0.0000 0.5000 I
```


[7]
# La2BiPb
Computed PXRD pattern, Cu Kα (λ = 1.5418 Å). Input: a PBE-relaxed structure.
Lines closer than 0.1° are merged.

Largest 10 diffraction maxima, sorted by position, 10 to 90 degrees two-theta:
d [Å], intensity
3.834, 7
3.321, 100
2.348, 79
1.917, 29
1.659, 9
1.486, 22
1.484, 16
1.356, 28
1.107, 7
1.107, 13

```
La2BiPb
1.0
6.6372 0.0000 0.0000
0.0000 6.6370 0.0000
-6.6298 0.0000 13.2977
La Bi Pb
8 4 4
direct
0.1219 0.2490 0.1223 La
0.1219 0.7510 0.6223 La
0.3722 0.2513 0.8722 La
0.3722 0.7487 0.3722 La
0.6278 0.2513 0.6278 La
0.6278 0.7487 0.1278 La
0.8781 0.2490 0.3777 La
0.8781 0.7510 0.8777 La
0.1250 0.2511 0.6250 Bi
0.1250 0.7489 0.1250 Bi
0.8750 0.2511 0.8750 Bi
0.8750 0.7489 0.3750 Bi
0.3754 0.2485 0.3750 Pb
0.3754 0.7515 0.8750 Pb
0.6246 0.2485 0.1250 Pb
0.6246 0.7515 0.6250 Pb
```


[8]
# Ag2S
Computed PXRD pattern, Cu Kα (λ = 1.5418 Å). Input: a PBE-relaxed structure.
Lines closer than 0.1° are merged.

Largest 10 diffraction maxima, sorted by position, 10 to 90 degrees two-theta:
d [Å], intensity
4.362, 43
3.213, 79
3.195, 77
2.796, 42
2.787, 45
2.506, 86
2.483, 100
2.193, 92
2.150, 76
1.974, 52

```
Ag2S
1.0
4.3636 0.0000 0.0000
0.0280 4.7216 0.0000
0.1782 0.0142 5.9146
Ag S
4 2
direct
0.0000 0.0000 0.0000 Ag
0.0199 0.1881 0.5033 Ag
0.6232 0.6919 0.6573 Ag
0.6482 0.5012 0.1590 Ag
0.1310 0.6929 0.3390 S
0.5148 0.1964 0.8208 S
```